Structure and computed powder XRD pattern of Ce3Si (DFT lattice parameters and positions (PBE); Cu Kα (weighted mean of Kα1 and Kα2)).
Lines closer than 0.1° are merged.

Structural model:
abc: 4.568 4.568 4.568
angles: 90.00 90.00 90.00
Space group Pm-3m (No. 221)
Inequivalent atoms, fractional coordinates:
Ce (0.000, 0.000, 0.500) x3
Si (0.500, 0.500, 0.500) x1

The 8 most intense peaks (2θ = 10–90°), by intensity:
Position (°2θ)  I/Imax  hkl
33.99  100  1 1 1
39.45  50  2 0 0
68.08  39  3 1 1
57.03  34  2 2 0
19.43  18  1 0 0
27.62  16  1 1 0
71.55  11  2 2 2
44.34  9  2 1 0